1.
The following is a simulated X-ray powder pattern of La5SnGe2. It was derived from DFT lattice parameters and positions (PBE), using Cu Kα, 1.54184 Å.
Neutral-atom scattering factors, no anomalous dispersion.

Most intense lines, 15° ≤ 2θ ≤ 90°, in order of falling intensity:
d 2.929, I 100
d 2.611, I 60
d 2.717, I 44
d 1.848, I 27
d 3.070, I 24
d 1.713, I 20
d 2.919, I 17
d 3.577, I 17
d 1.460, I 16
d 1.485, I 15

Crystal structure
Lattice parameters (Å, degrees): 9.2838 9.2838 9.2838 127.20 127.20 77.92
Atoms (fractional coordinates):
La: 0.0000 0.0000 0.0000
La: 0.0251 0.5251 0.8343
La: 0.1908 0.0251 0.5000
La: 0.3092 0.8092 0.8343
La: 0.4749 0.3092 0.5000
La: 0.5000 0.5000 0.0000
La: 0.5251 0.6908 0.5000
La: 0.6908 0.1908 0.1657
La: 0.8092 0.9749 0.5000
La: 0.9749 0.4749 0.1657
Sn: 0.2500 0.2500 0.0000
Sn: 0.7500 0.7500 0.0000
Ge: 0.1323 0.3677 0.5000
Ge: 0.3677 0.8677 0.2354
Ge: 0.6323 0.1323 0.7646
Ge: 0.8677 0.6323 0.5000

***

2.
The following is a simulated X-ray powder pattern of La3TbGe2. It was derived from DFT lattice parameters and positions (PBE), using Cu Kα, 1.54184 Å.
Neutral-atom scattering factors, no anomalous dispersion.

Most intense lines, 15° ≤ 2θ ≤ 90°, in order of falling intensity:
d 3.031, I 100
d 2.569, I 63
d 2.344, I 27
d 2.795, I 27
d 2.257, I 25
d 2.692, I 17
d 1.626, I 17
d 1.762, I 15
d 1.796, I 14
d 2.728, I 14

Crystal structure
Lattice parameters (Å, degrees): 8.9931 8.9931 8.9931 150.93 149.78 42.42
Atoms (fractional coordinates):
La: 0.0000 0.0000 0.0000
La: 0.1819 0.6819 0.5000
La: 0.8181 0.3181 0.5000
Tb: 0.5000 0.5000 0.0000
Ge: 0.3689 0.8689 0.5000
Ge: 0.6311 0.1311 0.5000

***

3.
The following is a simulated X-ray powder pattern of La2Tb3Ge4. It was derived from DFT lattice parameters and positions (PBE), using Cu Kα, 1.54184 Å.
Neutral-atom scattering factors, no anomalous dispersion.

Most intense lines, 15° ≤ 2θ ≤ 90°, in order of falling intensity:
d 2.745, I 100
d 2.805, I 64
d 2.510, I 56
d 2.459, I 48
d 2.769, I 27
d 2.984, I 24
d 2.384, I 19
d 3.004, I 19
d 2.781, I 19
d 2.496, I 18

Crystal structure
Lattice parameters (Å, degrees): 7.9925 8.0172 7.7523 90.00 109.60 90.00
Atoms (fractional coordinates):
La: 0.1947 0.1786 0.0712
La: 0.1947 0.3214 0.5712
La: 0.8053 0.6786 0.4288
La: 0.8053 0.8214 0.9288
Tb: 0.2462 0.6690 0.2476
Tb: 0.2462 0.8310 0.7476
Tb: 0.5000 0.0000 0.5000
Tb: 0.5000 0.5000 0.0000
Tb: 0.7538 0.1690 0.2524
Tb: 0.7538 0.3310 0.7524
Ge: 0.0844 0.5385 0.8530
Ge: 0.0844 0.9615 0.3530
Ge: 0.4922 0.1311 0.8661
Ge: 0.4922 0.3689 0.3661
Ge: 0.5078 0.6311 0.6339
Ge: 0.5078 0.8689 0.1339
Ge: 0.9156 0.0385 0.6470
Ge: 0.9156 0.4615 0.1470

***

4.
The following is a simulated X-ray powder pattern of La3Tb3Ge4. It was derived from DFT lattice parameters and positions (PBE), using Cu Kα, 1.54184 Å.
Neutral-atom scattering factors, no anomalous dispersion.

Most intense lines, 15° ≤ 2θ ≤ 90°, in order of falling intensity:
d 2.932, I 100
d 2.747, I 83
d 2.739, I 76
d 2.231, I 38
d 2.455, I 36
d 2.465, I 36
d 3.466, I 34
d 1.735, I 22
d 1.651, I 22
d 1.654, I 21

Crystal structure
Lattice parameters (Å, degrees): 4.4610 7.7792 7.7792 90.38 90.00 90.00
Atoms (fractional coordinates):
La: 0.0000 0.0000 0.0000
La: 0.0000 0.1528 0.5044
La: 0.0000 0.5044 0.1528
Tb: 0.0000 0.6526 0.6526
Tb: 0.5000 0.3275 0.8261
Tb: 0.5000 0.8261 0.3275
Ge: 0.5000 0.2074 0.2074
Ge: 0.5000 0.4559 0.4559
Ge: 0.5000 0.7018 0.9405
Ge: 0.5000 0.9405 0.7018

***

5.
The following is a simulated X-ray powder pattern of LaTcGe2. It was derived from DFT lattice parameters and positions (PBE), using Cu Kα, 1.54184 Å.
Neutral-atom scattering factors, no anomalous dispersion.

Most intense lines, 15° ≤ 2θ ≤ 90°, in order of falling intensity:
d 2.806, I 100
d 2.568, I 84
d 2.176, I 75
d 2.196, I 74
d 3.057, I 66
d 2.647, I 52
d 2.712, I 51
d 2.544, I 51
d 2.011, I 38
d 1.691, I 33

Crystal structure
Lattice parameters (Å, degrees): 7.3394 4.3528 10.5864 90.00 90.00 90.00
Atoms (fractional coordinates):
La: 0.1639 0.2500 0.1287
La: 0.3361 0.7500 0.6287
La: 0.6639 0.2500 0.3713
La: 0.8361 0.7500 0.8713
Tc: 0.0197 0.7500 0.3922
Tc: 0.4803 0.2500 0.8922
Tc: 0.5197 0.7500 0.1078
Tc: 0.9803 0.2500 0.6078
Ge: 0.1422 0.2500 0.8114
Ge: 0.1907 0.2500 0.4271
Ge: 0.3093 0.7500 0.9271
Ge: 0.3578 0.7500 0.3114
Ge: 0.6422 0.2500 0.6886
Ge: 0.6907 0.2500 0.0729
Ge: 0.8093 0.7500 0.5729
Ge: 0.8578 0.7500 0.1886

***

6.
The following is a simulated X-ray powder pattern of La2TcGe6. It was derived from DFT lattice parameters and positions (PBE), using Cu Kα, 1.54184 Å.
Neutral-atom scattering factors, no anomalous dispersion.

Most intense lines, 15° ≤ 2θ ≤ 90°, in order of falling intensity:
d 2.650, I 100
d 2.317, I 49
d 2.209, I 39
d 2.280, I 37
d 3.033, I 36
d 1.586, I 24
d 2.086, I 23
d 3.312, I 22
d 2.301, I 21
d 1.516, I 20

Crystal structure
Lattice parameters (Å, degrees): 6.8567 4.4170 6.8618 90.00 105.07 90.00
Atoms (fractional coordinates):
La: 0.2373 0.0000 0.2623
La: 0.7627 0.0000 0.7377
Tc: 0.5000 0.5000 0.0000
Ge: 0.1104 0.5000 0.8750
Ge: 0.3086 0.0000 0.8097
Ge: 0.3756 0.5000 0.6114
Ge: 0.6244 0.5000 0.3886
Ge: 0.6914 0.0000 0.1903
Ge: 0.8896 0.5000 0.1250

***

7.
The following is a simulated X-ray powder pattern of LaTiTcGe2. It was derived from DFT lattice parameters and positions (PBE), using Cu Kα, 1.54184 Å.
Neutral-atom scattering factors, no anomalous dispersion.

Most intense lines, 15° ≤ 2θ ≤ 90°, in order of falling intensity:
d 2.594, I 100
d 2.829, I 69
d 2.044, I 50
d 2.038, I 41
d 1.657, I 28
d 1.443, I 27
d 1.263, I 20
d 1.446, I 16
d 1.193, I 15
d 2.891, I 14

Crystal structure
Lattice parameters (Å, degrees): 6.5511 6.5511 6.5511 143.63 143.63 52.38
Atoms (fractional coordinates):
La: 0.0000 0.0000 0.0000
Ti: 0.7500 0.2500 0.5000
Tc: 0.2500 0.7500 0.5000
Ge: 0.3861 0.3861 0.0000
Ge: 0.6139 0.6139 0.0000

***

8.
The following is a simulated X-ray powder pattern of La10Ge3Te3. It was derived from DFT lattice parameters and positions (PBE), using Cu Kα, 1.54184 Å.
Neutral-atom scattering factors, no anomalous dispersion.

Most intense lines, 15° ≤ 2θ ≤ 90°, in order of falling intensity:
d 2.690, I 100
d 2.780, I 99
d 2.705, I 70
d 3.068, I 33
d 1.908, I 28
d 1.782, I 27
d 3.045, I 21
d 1.791, I 19
d 1.404, I 18
d 3.285, I 17

Crystal structure
Lattice parameters (Å, degrees): 9.3717 9.3717 6.5706 90.00 90.00 120.00
Atoms (fractional coordinates):
La: 0.0000 0.2554 0.0000
La: 0.0000 0.7441 0.5000
La: 0.2554 0.0000 0.0000
La: 0.2559 0.2559 0.5000
La: 0.3333 0.6667 0.2423
La: 0.3333 0.6667 0.7577
La: 0.6667 0.3333 0.2423
La: 0.6667 0.3333 0.7577
La: 0.7441 0.0000 0.5000
La: 0.7446 0.7446 0.0000
Ge: 0.0000 0.6202 0.0000
Ge: 0.3798 0.3798 0.0000
Ge: 0.6202 0.0000 0.0000
Te: 0.0000 0.3853 0.5000
Te: 0.3853 0.0000 0.5000
Te: 0.6147 0.6147 0.5000

***

9.
The following is a simulated X-ray powder pattern of La2Ge2Te5. It was derived from DFT lattice parameters and positions (PBE), using Cu Kα, 1.54184 Å.
Neutral-atom scattering factors, no anomalous dispersion.

Most intense lines, 15° ≤ 2θ ≤ 90°, in order of falling intensity:
d 2.823, I 100
d 3.508, I 96
d 2.847, I 96
d 3.705, I 72
d 2.252, I 67
d 2.733, I 63
d 3.534, I 60
d 3.156, I 59
d 2.473, I 51
d 2.534, I 46

Crystal structure
Lattice parameters (Å, degrees): 11.2939 11.2939 11.2939 60.56 138.40 138.06
Atoms (fractional coordinates):
La: 0.0331 0.1013 0.1345
La: 0.0331 0.3987 0.4318
La: 0.9669 0.6013 0.5682
La: 0.9669 0.8987 0.8655
Ge: 0.4549 0.4549 0.0000
Ge: 0.4549 0.9549 0.5000
Ge: 0.5291 0.8194 0.2097
Ge: 0.6096 0.3194 0.7903
Te: 0.0914 0.7093 0.8822
Te: 0.2685 0.0251 0.5381
Te: 0.2685 0.2304 0.7434
Te: 0.4870 0.5251 0.2566
Te: 0.4870 0.7304 0.4619
Te: 0.4915 0.1989 0.2413
Te: 0.4915 0.7502 0.7925
Te: 0.8271 0.2093 0.1178
Te: 0.9576 0.2502 0.7587
Te: 0.9576 0.6989 0.2075

***

10.
The following is a simulated X-ray powder pattern of LaTh2Ge3. It was derived from DFT lattice parameters and positions (PBE), using Cu Kα, 1.54184 Å.
Neutral-atom scattering factors, no anomalous dispersion.

Most intense lines, 15° ≤ 2θ ≤ 90°, in order of falling intensity:
d 3.063, I 100
d 2.167, I 51
d 3.551, I 19
d 3.523, I 18
d 1.776, I 14
d 1.762, I 14
d 1.255, I 13
d 2.178, I 13
d 2.152, I 13
d 1.371, I 12

Crystal structure
Lattice parameters (Å, degrees): 8.7104 6.1338 12.9129 90.00 90.00 90.00
Atoms (fractional coordinates):
La: 0.1260 0.2500 0.0819
La: 0.3740 0.7500 0.5819
La: 0.6260 0.2500 0.4181
La: 0.8740 0.7500 0.9181
Th: 0.1231 0.2500 0.4162
Th: 0.1247 0.2500 0.7517
Th: 0.3753 0.7500 0.2517
Th: 0.3769 0.7500 0.9162
Th: 0.6231 0.2500 0.0838
Th: 0.6247 0.2500 0.7483
Th: 0.8753 0.7500 0.2483
Th: 0.8769 0.7500 0.5838
Ge: 0.1208 0.7500 0.4138
Ge: 0.1254 0.7500 0.7518
Ge: 0.1309 0.7500 0.0852
Ge: 0.3691 0.2500 0.5852
Ge: 0.3746 0.2500 0.2518
Ge: 0.3792 0.2500 0.9138
Ge: 0.6208 0.7500 0.0862
Ge: 0.6254 0.7500 0.7482
Ge: 0.6309 0.7500 0.4148
Ge: 0.8691 0.2500 0.9148
Ge: 0.8746 0.2500 0.2482
Ge: 0.8792 0.2500 0.5862

***

11.
The following is a simulated X-ray powder pattern of La3ThGe4. It was derived from DFT lattice parameters and positions (PBE), using Cu Kα, 1.54184 Å.
Neutral-atom scattering factors, no anomalous dispersion.

Most intense lines, 15° ≤ 2θ ≤ 90°, in order of falling intensity:
d 3.300, I 100
d 2.590, I 35
d 2.716, I 31
d 2.369, I 29
d 2.963, I 20
d 1.913, I 20
d 2.141, I 20
d 1.425, I 19
d 1.650, I 16
d 2.070, I 15

Crystal structure
Lattice parameters (Å, degrees): 9.1727 9.1727 9.1727 153.01 137.58 51.01
Atoms (fractional coordinates):
La: 0.0000 0.0000 0.0000
La: 0.3046 0.8046 0.5000
La: 0.6954 0.1954 0.5000
Th: 0.5000 0.5000 0.0000
Ge: 0.0596 0.3704 0.6892
Ge: 0.3188 0.6296 0.6892
Ge: 0.6812 0.3704 0.3108
Ge: 0.9404 0.6296 0.3108

***

12.
The following is a simulated X-ray powder pattern of LaTiGe. It was derived from DFT lattice parameters and positions (PBE), using Cu Kα, 1.54184 Å.
Neutral-atom scattering factors, no anomalous dispersion.

Most intense lines, 15° ≤ 2θ ≤ 90°, in order of falling intensity:
d 2.583, I 100
d 2.394, I 83
d 2.941, I 73
d 3.316, I 70
d 2.079, I 67
d 2.770, I 59
d 1.620, I 48
d 1.676, I 41
d 1.305, I 36
d 1.762, I 23

Crystal structure
Lattice parameters (Å, degrees): 8.7495 8.7495 8.7495 152.50 152.50 39.28
Atoms (fractional coordinates):
La: 0.1734 0.1734 0.0000
La: 0.8266 0.8266 0.0000
Ti: 0.0000 0.5000 0.5000
Ti: 0.5000 0.0000 0.5000
Ge: 0.3887 0.3887 0.0000
Ge: 0.6113 0.6113 0.0000

***

13.
The following is a simulated X-ray powder pattern of La8TlGe2. It was derived from DFT lattice parameters and positions (PBE), using Cu Kα, 1.54184 Å.
Neutral-atom scattering factors, no anomalous dispersion.

Most intense lines, 15° ≤ 2θ ≤ 90°, in order of falling intensity:
d 3.004, I 100
d 2.880, I 74
d 2.733, I 70
d 2.831, I 54
d 2.563, I 44
d 2.842, I 44
d 2.645, I 25
d 2.409, I 24
d 2.162, I 23
d 1.696, I 21

Crystal structure
Lattice parameters (Å, degrees): 8.5033 8.5033 5.7788 100.89 100.89 116.59
Atoms (fractional coordinates):
La: 0.0000 0.0000 0.0000
La: 0.1803 0.1803 0.5937
La: 0.2700 0.7466 0.7612
La: 0.2822 0.5166 0.2136
La: 0.5166 0.2822 0.2136
La: 0.6636 0.9029 0.3396
La: 0.7466 0.2700 0.7612
La: 0.9029 0.6636 0.3396
Tl: 0.5881 0.5881 0.7824
Ge: 0.3052 0.9165 0.3279
Ge: 0.9165 0.3052 0.3279